# Cs7Rb4Cl
Theoretical powder diffraction line list, Cu Kα (weighted mean of Kα1 and Kα2). Input: a cell relaxed with GGA-PBE.

Main lines, low angle first (2θ from 10° to 90°):
d_spacing, 2θ/deg, I (rel.)
4.306, 20.6, 100
3.875, 23.0, 21
3.670, 24.3, 20
3.653, 24.4, 18
2.659, 33.7, 22
2.223, 40.6, 18

Structural model:
Unit cell a=7.340 b=9.317 c=18.667 alpha=77.72 beta=89.96 gamma=66.94
Space group P-1 (No. 2)
Asymmetric unit:
Cs (0.000, 0.000, 0.000)
Cs (0.088, 0.825, 0.648)
Cs (0.295, 0.409, 0.912)
Cs (0.363, 0.275, 0.552)
Rb (0.188, 0.624, 0.272)
Rb (0.452, 0.096, 0.169)
Cl (0.500, 0.000, 0.000)

=====

# Cs4Rb3SnCl8
Theoretical powder diffraction line list, Cu Kα (weighted mean of Kα1 and Kα2). Input: a cell relaxed with GGA-PBE.

Main lines, low angle first (2θ from 10° to 90°):
d_spacing, 2θ/deg, I (rel.)
4.040, 22.0, 21
3.964, 22.4, 40
3.641, 24.4, 62
3.358, 26.5, 100
2.491, 36.1, 42
2.446, 36.7, 40

Structural model:
Unit cell a=17.208 b=9.452 c=9.547 alpha=90.00 beta=122.19 gamma=90.00
Space group C2/m (No. 12)
Asymmetric unit:
Cs (0.000, 0.000, 0.000)
Cs (0.000, 0.500, 0.000)
Cs (0.250, 0.250, 0.500)
Rb (0.000, 0.000, 0.500)
Rb (0.250, 0.250, 0.000)
Sn (0.000, 0.500, 0.500)
Cl (0.006, 0.271, 0.725)
Cl (0.223, 0.000, 0.211)
Cl (0.246, 0.000, 0.756)

=====

# Cs3Rb2SnCl6
Theoretical powder diffraction line list, Cu Kα (weighted mean of Kα1 and Kα2). Input: a cell relaxed with GGA-PBE.

Main lines, low angle first (2θ from 10° to 90°):
d_spacing, 2θ/deg, I (rel.)
4.088, 21.7, 42
3.434, 26.0, 100
3.352, 26.6, 45
2.579, 34.8, 22
2.430, 37.0, 37
2.369, 38.0, 32

Structural model:
Unit cell a=8.265 b=15.475 c=8.005 alpha=90.00 beta=111.09 gamma=90.00
Space group C2/m (No. 12)
Asymmetric unit:
Cs (0.000, 0.000, 0.000)
Cs (0.000, 0.338, 0.000)
Rb (0.000, 0.169, 0.500)
Sn (0.000, 0.500, 0.500)
Cl (0.238, 0.500, 0.301)
Cl (0.248, 0.327, 0.736)

=====

# Cs2RbSrCl5
Theoretical powder diffraction line list, Cu Kα (weighted mean of Kα1 and Kα2). Input: a cell relaxed with GGA-PBE.

Main lines, low angle first (2θ from 10° to 90°):
d_spacing, 2θ/deg, I (rel.)
4.014, 22.1, 100
2.892, 30.9, 39
2.878, 31.1, 25
2.787, 32.1, 28
2.307, 39.0, 23
2.007, 45.2, 25

Structural model:
Unit cell a=5.575 b=7.976 c=16.803 alpha=90.00 beta=90.00 gamma=90.00
Space group Immm (No. 71)
Asymmetric unit:
Cs (0.000, 0.000, 0.208)
Rb (0.000, 0.500, 0.000)
Sr (0.000, 0.500, 0.500)
Cl (0.000, 0.000, 0.000)
Cl (0.000, 0.249, 0.376)

=====

# Cs2RbTcCl8
Theoretical powder diffraction line list, Cu Kα (weighted mean of Kα1 and Kα2). Input: a cell relaxed with GGA-PBE.

Main lines, low angle first (2θ from 10° to 90°):
d_spacing, 2θ/deg, I (rel.)
5.106, 17.4, 38
4.217, 21.1, 100
3.030, 29.5, 21
2.820, 31.7, 43
2.601, 34.5, 17
2.493, 36.0, 20

Structural model:
Unit cell a=6.171 b=10.467 c=7.219 alpha=90.00 beta=100.86 gamma=90.00
Space group P2/m (No. 10)
Asymmetric unit:
Cs (0.000, 0.238, 0.000)
Rb (0.500, 0.500, 0.500)
Tc (0.500, 0.000, 0.500)
Cl (0.025, 0.500, 0.726)
Cl (0.137, 0.000, 0.337)
Cl (0.417, 0.162, 0.705)

=====

# Cs2RbTlCl6
Theoretical powder diffraction line list, Cu Kα (weighted mean of Kα1 and Kα2). Input: a cell relaxed with GGA-PBE.

Main lines, low angle first (2θ from 10° to 90°):
d_spacing, 2θ/deg, I (rel.)
4.064, 21.9, 100
2.873, 31.1, 52
2.346, 38.4, 46
2.032, 44.6, 36
1.817, 50.2, 24
1.536, 60.3, 27

Structural model:
Unit cell a=11.494 b=11.494 c=11.494 alpha=90.00 beta=90.00 gamma=90.00
Space group Fm-3m (No. 225)
Asymmetric unit:
Cs (0.250, 0.250, 0.250)
Rb (0.000, 0.000, 0.000)
Tl (0.000, 0.000, 0.500)
Cl (0.000, 0.000, 0.272)

=====

# CsRbUCl6
Theoretical powder diffraction line list, Cu Kα (weighted mean of Kα1 and Kα2). Input: a cell relaxed with GGA-PBE.

Main lines, low angle first (2θ from 10° to 90°):
d_spacing, 2θ/deg, I (rel.)
6.193, 14.3, 41
4.666, 19.0, 100
4.139, 21.5, 67
3.433, 26.0, 65
2.479, 36.2, 41
2.467, 36.4, 76

Structural model:
Unit cell a=8.2777 b=8.2777 c=12.2926 alpha=90.00 beta=90.00 gamma=120.00
Space group P-31c (No. 163)
Asymmetric unit:
Cs (0.3333, 0.6667, 0.2500)
Rb (0.0000, 0.0000, 0.0000)
U (0.3333, 0.6667, 0.7500)
Cl (0.0778, 0.4007, 0.6268)

=====

# CsRb2ZrCl6
Theoretical powder diffraction line list, Cu Kα (weighted mean of Kα1 and Kα2). Input: a cell relaxed with GGA-PBE.

Main lines, low angle first (2θ from 10° to 90°):
d_spacing, 2θ/deg, I (rel.)
4.104, 21.7, 100
2.902, 30.8, 66
2.370, 38.0, 42
2.052, 44.1, 43
1.835, 49.7, 26
1.551, 59.6, 28

Structural model:
Unit cell a=11.608 b=11.608 c=11.608 alpha=90.00 beta=90.00 gamma=90.00
Space group Fm-3m (No. 225)
Asymmetric unit:
Cs (0.000, 0.000, 0.000)
Rb (0.250, 0.250, 0.250)
Zr (0.000, 0.000, 0.500)
Cl (0.000, 0.000, 0.280)